# BaV4N7
Computed X-ray powder pattern, Cu Kα (λ = 1.5418 Å). Input: the PBE geometry in Alexandria.
No peak broadening, texture or thermal motion is included.

Main lines, in order of rising 2θ (15° ≤ 2θ ≤ 90°):
two_theta  d (Å)  I_rel
26.31  3.388  40
26.73  3.335  43
27.40  3.255  100
33.03  2.712  22
34.40  2.607  26
48.45  1.879  23

a = 13.0148 Å, b = 5.4242 Å, c = 5.2138 Å
α = 90.00°, β = 90.00°, γ = 90.00°
Space group Pmn2_1 (No. 31)
Unique sites:
Ba  0.0000  0.2094  0.0000
V  0.1240  0.6741  0.4573
V  0.2481  0.8349  0.9360
N  0.0000  0.7740  0.3527
N  0.1333  0.7167  0.8004
N  0.1400  0.3529  0.3856
N  0.2263  0.8576  0.2897

# Ba3V3N5
Computed X-ray powder pattern, Cu Kα (λ = 1.5418 Å). Input: the PBE geometry in Alexandria.
No peak broadening, texture or thermal motion is included.

Main lines, in order of rising 2θ (15° ≤ 2θ ≤ 90°):
two_theta  d (Å)  I_rel
27.89  3.199  77
30.51  2.930  100
30.86  2.898  90
31.93  2.802  59
32.39  2.764  98
35.71  2.514  40

a = 5.9871 Å, b = 7.6042 Å, c = 8.9439 Å
α = 107.72°, β = 101.67°, γ = 96.35°
Space group P-1 (No. 2)
Unique sites:
Ba  0.1468  0.1710  0.2200
Ba  0.1488  0.3580  0.8802
Ba  0.3209  0.9310  0.6120
V  0.1924  0.4807  0.5837
V  0.4006  0.6020  0.2949
V  0.4159  0.8180  0.9717
N  0.1255  0.5560  0.3824
N  0.2887  0.0264  0.9315
N  0.3246  0.2595  0.5419
N  0.3469  0.7141  0.1318
N  0.4460  0.6167  0.7868

# Ba3Y3N5
Computed X-ray powder pattern, Cu Kα (λ = 1.5418 Å). Input: the PBE geometry in Alexandria.
No peak broadening, texture or thermal motion is included.

Main lines, in order of rising 2θ (15° ≤ 2θ ≤ 90°):
two_theta  d (Å)  I_rel
26.34  3.383  41
27.61  3.231  31
27.93  3.195  100
28.35  3.148  80
28.95  3.085  80
29.75  3.003  31

a = 6.6122 Å, b = 8.8384 Å, c = 9.8436 Å
α = 108.67°, β = 105.57°, γ = 102.58°
Space group P-1 (No. 2)
Unique sites:
Ba  0.1730  0.3214  0.3800
Ba  0.1940  0.1277  0.7159
Ba  0.2576  0.9342  0.0935
Y  0.2156  0.4677  0.0850
Y  0.3693  0.6317  0.7894
Y  0.3870  0.8059  0.4698
N  0.1254  0.5788  0.9038
N  0.2542  0.7776  0.6513
N  0.2664  0.9969  0.3855
N  0.2759  0.2132  0.0279
N  0.4950  0.4069  0.6776